This entry pairs a crystal structure of La4ThCd with its simulated X-ray powder pattern. Radiation: a wavelength of 1.5418 Å. Structure: a cell relaxed with PBE.

Principal peaks in the range 15 to 90 degrees two-theta, in order of rising 2θ:
Position (°2θ)  I/Imax  index
30.15  100  1 0 3
34.65  36  1 1 0
35.54  14  0 0 6
49.82  13  2 0 0
50.48  21  1 1 6
59.34  29  2 1 3
60.52  12  1 0 9
62.68  11  2 0 6

Structure:
a b c (Å): 3.6609 3.6609 15.1574
angles (deg): 90.00 90.00 90.00
Atoms (fractional coordinates):
La 0.0000 0.0000 0.1463
La 0.0000 0.0000 0.8537
La 0.5000 0.5000 0.3373
La 0.5000 0.5000 0.6627
Th 0.0000 0.0000 0.5000
Cd 0.5000 0.5000 0.0000